Starting from a structure optimized by DFT (GGA+U), the powder diffraction line list of Mn3Co3Cu2O16 was calculated for λ = 1.5418 Å (Cu Kα).
Neutral-atom scattering factors, no anomalous dispersion.

Most intense lines, 2θ from 15° to 90°, sorted by position:
d (Å), Position (°2θ), I_rel, h k l
4.453, 19.94, 100, 0 0 2
4.398, 20.19, 39, 1 0 -1
4.358, 20.38, 72, 0 1 -1
4.275, 20.78, 59, 1 -1 1
2.401, 37.45, 47, 1 -2 2
1.424, 65.55, 43, 2 -4 0

Structural model:
Cell: 5.6976 5.6982 8.9149 Å, 90.05 92.22 119.99°
Space group P1 (No. 1)
One atom of each set of equivalent atoms:
Mn: 0.0000 0.0000 0.0000 (multiplicity 1)
Mn: 0.9999 0.4953 0.0000 (multiplicity 1)
Mn: 0.8214 0.6590 0.5014 (multiplicity 1)
Co: 0.3259 0.1619 0.4947 (multiplicity 1)
Co: 0.3260 0.6605 0.4948 (multiplicity 1)
Co: 0.4996 0.9975 0.9936 (multiplicity 1)
Cu: 0.4994 0.4978 0.7737 (multiplicity 1)
Cu: 0.8355 0.1658 0.2753 (multiplicity 1)
O: 0.1448 0.3203 0.1242 (multiplicity 1)
O: 0.1692 0.8330 0.6046 (multiplicity 1)
O: 0.1772 0.8363 0.1060 (multiplicity 1)
O: 0.2115 0.3542 0.6213 (multiplicity 1)
O: 0.3318 0.1572 0.8928 (multiplicity 1)
O: 0.3319 0.6698 0.8927 (multiplicity 1)
O: 0.4778 0.9871 0.3984 (multiplicity 1)
O: 0.4846 0.4904 0.3886 (multiplicity 1)
O: 0.6400 0.3437 0.6232 (multiplicity 1)
O: 0.6401 0.7936 0.6230 (multiplicity 1)
O: 0.6897 0.3081 0.1253 (multiplicity 1)
O: 0.6898 0.8774 0.1254 (multiplicity 1)
O: 0.8259 0.1605 0.8880 (multiplicity 1)
O: 0.8368 0.6661 0.8859 (multiplicity 1)
O: 0.9954 0.4969 0.3924 (multiplicity 1)
O: 0.9953 0.9950 0.3926 (multiplicity 1)